Computed XRD peak list
Compound: Li4Mn2P4H3O16
Radiation: Cu Kα X-rays
Structure: a DFT-relaxed cell (GGA+U, the Materials Project)

Peak list (10 most intense, 2θ = 10–80°, in order of falling intensity)
- 2θ 23.30, intensity 100, hkl 1 1 0
- 2θ 29.21, intensity 81, hkl 1 -2 1
- 2θ 15.68, intensity 46, hkl 0 1 -1
- 2θ 22.26, intensity 33, hkl -1 1 1
- 2θ 16.16, intensity 33, hkl 0 1 1
- 2θ 32.66, intensity 32, hkl 0 2 2
- 2θ 31.67, intensity 30, hkl 0 2 -2
- 2θ 24.31, intensity 30, hkl 0 1 -2
- 2θ 28.91, intensity 28, hkl 1 0 2
- 2θ 22.72, intensity 25, hkl 1 -1 1

Crystal structure
```
Li4Mn2P4H3O16
1.0
5.0022 0.0000 0.0000
-1.3709 7.5538 0.0000
-0.3365 -0.2461 8.2348
Li Mn P H O
4 2 4 3 16
direct
0.0000 0.0000 0.0000
0.2280 0.3185 0.7481
0.4845 0.4687 0.2181
0.7582 0.8462 0.5237
0.1204 0.1597 0.3707
0.6192 0.6536 0.8750
0.2579 0.9152 0.7200
0.5119 0.9029 0.2012
0.7284 0.4120 0.5441
0.9854 0.3924 0.0233
0.0523 0.5973 0.4507
0.1855 0.7111 0.2841
0.5799 0.1370 0.8585
0.0320 0.8278 0.8259
0.0903 0.3644 0.1983
0.1520 0.9547 0.5502
0.2166 0.4905 0.9236
0.2791 0.0046 0.1776
0.3804 0.7136 0.2816
0.3858 0.1035 0.8041
0.4870 0.8020 0.7029
0.5077 0.3300 0.4191
0.6054 0.4624 0.7030
0.6313 0.8510 0.0413
0.7355 0.9850 0.3245
0.7617 0.5139 0.0439
0.8624 0.2132 0.9385
0.8626 0.6028 0.4675
0.9613 0.3103 0.5669
```